This entry pairs a crystal structure of Mg5Si6 with its calculated XRD peak list. Radiation: a wavelength of 1.5418 Å. Structure: a GGA-PBE-relaxed structure.
Peak positions follow from Bragg's law for the DFT cell and can differ from measured ones.

Cell and atoms:
a b c (Å): 6.7988 4.0674 14.7267
angles (deg): 90.00 91.42 90.00
Sites, in units of the cell vectors:
Mg1 0.0000 0.0000 0.0000
Mg2 0.1714 0.5000 0.1450
Mg3 0.1834 0.5000 0.4438
Mg4 0.1875 0.5000 0.6909
Mg5 0.3072 0.5000 0.9237
Mg6 0.5000 0.0000 0.5000
Mg7 0.6928 0.5000 0.0763
Mg8 0.8125 0.5000 0.3091
Mg9 0.8166 0.5000 0.5562
Mg10 0.8286 0.5000 0.8550
Si1 0.1066 0.0000 0.8178
Si2 0.1149 0.0000 0.5648
Si3 0.1314 0.0000 0.3062
Si4 0.3905 0.0000 0.0635
Si5 0.4108 0.5000 0.2976
Si6 0.4573 0.0000 0.7809
Si7 0.5427 0.0000 0.2191
Si8 0.5892 0.5000 0.7024
Si9 0.6095 0.0000 0.9365
Si10 0.8686 0.0000 0.6938
Si11 0.8851 0.0000 0.4352
Si12 0.8934 0.0000 0.1822

Principal peaks in the range 2θ from 10° to 80°, most intense first:
d/Å  two_theta  I (rel.)
2.034  44.55  100
2.517  35.68  97
2.321  38.79  93
2.549  35.21  85
2.608  34.39  66
2.287  39.41  49
2.148  42.07  45
2.444  36.78  43

=====

This entry pairs a crystal structure of Mg3Si4 with its calculated XRD peak list. Radiation: a wavelength of 1.5418 Å. Structure: a GGA-PBE-relaxed structure.
Peak positions follow from Bragg's law for the DFT cell and can differ from measured ones.

Cell and atoms:
a b c (Å): 5.1031 6.2167 8.6024
angles (deg): 110.44 92.86 93.95
Sites, in units of the cell vectors:
Mg1 0.0000 0.0000 0.0000
Mg2 0.0553 0.4637 0.9194
Mg3 0.2324 0.0456 0.5753
Mg4 0.5377 0.2907 0.0640
Mg5 0.6366 0.6931 0.3898
Mg6 0.7419 0.1995 0.4049
Si1 0.0592 0.4310 0.2292
Si2 0.1369 0.8224 0.2376
Si3 0.2546 0.4371 0.4953
Si4 0.4023 0.8386 0.8148
Si5 0.5519 0.4798 0.8084
Si6 0.5663 0.8108 0.1048
Si7 0.7510 0.0347 0.7036
Si8 0.9322 0.6557 0.6740

Principal peaks in the range 2θ from 10° to 80°, most intense first:
d/Å  two_theta  I (rel.)
2.295  39.26  100
2.475  36.29  99
2.447  36.73  51
2.311  38.97  51
2.547  35.23  49
1.921  47.32  42
2.464  36.47  37
2.424  37.10  36

=====

This entry pairs a crystal structure of Mg4Si3 with its calculated XRD peak list. Radiation: a wavelength of 1.5418 Å. Structure: a GGA-PBE-relaxed structure.
Peak positions follow from Bragg's law for the DFT cell and can differ from measured ones.

Cell and atoms:
a b c (Å): 5.7032 6.4034 8.1826
angles (deg): 69.00 80.34 78.19
Sites, in units of the cell vectors:
Mg1 0.0000 0.0000 0.0000
Mg2 0.1042 0.8188 0.6763
Mg3 0.2493 0.3424 0.5923
Mg4 0.3540 0.4969 0.1654
Mg5 0.5000 0.0000 0.0000
Mg6 0.6460 0.5031 0.8346
Mg7 0.7507 0.6576 0.4077
Mg8 0.8958 0.1812 0.3237
Si1 0.1647 0.4072 0.9190
Si2 0.2128 0.7920 0.3327
Si3 0.4338 0.0641 0.3568
Si4 0.5662 0.9359 0.6432
Si5 0.7872 0.2080 0.6673
Si6 0.8353 0.5928 0.0810

Principal peaks in the range 2θ from 10° to 80°, most intense first:
d/Å  two_theta  I (rel.)
2.677  33.47  100
2.056  44.04  51
2.029  44.66  39
2.484  36.16  38
2.452  36.65  37
2.699  33.19  32
2.202  40.98  29
2.051  44.15  29

=====

This entry pairs a crystal structure of Mg3Si4 with its calculated XRD peak list. Radiation: a wavelength of 1.5418 Å. Structure: a GGA-PBE-relaxed structure.
Peak positions follow from Bragg's law for the DFT cell and can differ from measured ones.

Cell and atoms:
a b c (Å): 9.9865 9.9865 8.4722
angles (deg): 92.27 92.27 18.45
Sites, in units of the cell vectors:
Mg1 0.0000 0.0000 0.0000
Mg2 0.9997 0.9997 0.4833
Mg3 0.3534 0.3534 0.5026
Mg4 0.5897 0.5897 0.2528
Mg5 0.6166 0.6166 0.7662
Mg6 0.7441 0.7441 0.1018
Si1 0.1361 0.1361 0.0226
Si2 0.1412 0.1412 0.5010
Si3 0.3552 0.3552 0.0359
Si4 0.4412 0.4412 0.2423
Si5 0.4678 0.4678 0.7357
Si6 0.7280 0.7280 0.4295
Si7 0.7632 0.7632 0.7087
Si8 0.8778 0.8778 0.8120

Principal peaks in the range 2θ from 10° to 80°, most intense first:
d/Å  two_theta  I (rel.)
2.542  35.31  100
2.118  42.69  49
2.167  41.68  45
2.113  42.79  43
2.400  37.48  40
2.462  36.49  36
2.524  35.56  32
1.601  57.58  29